# 1
Structure and computed XRD peak list of SrZr2As2O7 (a crystal structure in OQMD, relaxed with PBE; λ = 1.5418 Å (Cu Kα)).
Lines closer than 0.1° are merged.

Main lines, low angle first (2θ = 10–80°):
two_theta  I/Imax  (hkl)
22.37  29  0 0 6
23.92  30  1 0 4
26.45  100  0 1 5
32.57  88  1 1 0
42.42  40  2 0 5
47.66  30  1 1 9
54.49  34  1 2 5
57.47  17  0 1 14
58.11  25  3 0 0
67.64  13  2 0 14

Cell and atoms:
Lattice parameters (Å, degrees): 5.4987 5.4987 23.8483 90.00 90.00 120.00
Space group R32 (No. 155, hexagonal axes)
Asymmetric unit:
Sr1 0.0000 0.0000 0.0000 (multiplicity 3)
Zr1 0.0000 0.0000 0.4184 (multiplicity 6)
As1 0.0000 0.0000 0.2237 (multiplicity 6)
O1 0.0000 0.0000 0.5000 (multiplicity 3)
O2 0.0035 0.2878 0.2689 (multiplicity 18)



# 2
Structure and computed XRD peak list of Ta2As2O5 (a crystal structure in OQMD, relaxed with PBE; λ = 1.5418 Å (Cu Kα)).
Lines closer than 0.1° are merged.

Main lines, low angle first (2θ = 10–80°):
two_theta  I/Imax  (hkl)
21.05  14  0 0 2
24.79  24  1 0 0
32.74  100  1 0 2
35.34  43  1 1 0
40.74  19  1 0 3
48.27  16  1 1 3
50.84  24  2 0 0
56.72  12  1 1 4
61.79  33  2 1 2
66.51  10  1 1 5

Cell and atoms:
Lattice parameters (Å, degrees): 3.5921 3.5921 8.4394 90.00 90.00 90.00
Space group P4/mmm (No. 123)
Asymmetric unit:
Ta1 0.0000 0.0000 0.2098 (multiplicity 2)
As1 0.5000 0.5000 0.0000 (multiplicity 1)
As2 0.5000 0.5000 0.5000 (multiplicity 1)
O1 0.0000 0.0000 0.5000 (multiplicity 1)
O2 0.0000 0.5000 0.2998 (multiplicity 4)



# 3
Structure and computed XRD peak list of TmTaAsO (a crystal structure in OQMD, relaxed with PBE; λ = 1.5418 Å (Cu Kα)).
Lines closer than 0.1° are merged.

Main lines, low angle first (2θ = 10–80°):
two_theta  I/Imax  (hkl)
19.95  28  0 0 2
30.12  21  0 0 3
30.37  85  1 0 2
33.84  100  1 1 1
38.02  35  1 0 3
38.23  63  1 1 2
46.28  59  2 0 0
52.73  45  1 1 4
56.36  30  2 1 2
71.57  24  2 0 5

Cell and atoms:
Lattice parameters (Å, degrees): 3.9237 3.9237 8.9017 90.00 90.00 90.00
Space group P4/nmm (No. 129, origin choice 2)
Asymmetric unit:
Tm1 0.2500 0.2500 0.1187 (multiplicity 2)
Ta1 0.2500 0.7500 0.5000 (multiplicity 2)
As1 0.2500 0.2500 0.7041 (multiplicity 2)
O1 0.2500 0.7500 0.0000 (multiplicity 2)



# 4
Structure and computed XRD peak list of Tc2AsO4 (a crystal structure in OQMD, relaxed with PBE; λ = 1.5418 Å (Cu Kα)).
Lines closer than 0.1° are merged.

Main lines, low angle first (2θ = 10–80°):
two_theta  I/Imax  (hkl)
17.45  21  1 1 1
28.69  20  2 2 0
33.78  100  3 1 1
35.33  23  2 2 2
41.02  21  4 0 0
50.82  8  4 2 2
54.15  37  5 1 1
59.40  44  4 4 0
70.11  12  5 3 3
71.04  11  6 2 2

Cell and atoms:
Lattice parameters (Å, degrees): 8.8015 8.8015 8.8015 90.00 90.00 90.00
Space group Fd-3m (No. 227, origin choice 2)
Asymmetric unit:
Tc1 0.0000 0.0000 0.0000 (multiplicity 16)
As1 0.1250 0.1250 0.6250 (multiplicity 8)
O1 0.0097 0.0097 0.2403 (multiplicity 32)